# La4Nd3Ga
Theoretical X-ray powder pattern, Cu Kα X-rays. Input: a cell relaxed with GGA-PBE.

Largest 10 diffraction maxima, by angle, 2θ from 10° to 90°:
(1 0 3), d = 3.247 Å, 2θ = 27.5°, rel. 15; (1 0 4), d = 2.967 Å, 2θ = 30.1°, rel. 100; (0 0 7), d = 2.758 Å, 2θ = 32.5°, rel. 10; (1 1 0), d = 2.660 Å, 2θ = 33.7°, rel. 46; (1 1 7), d = 1.914 Å, 2θ = 47.5°, rel. 14; (2 0 0), d = 1.881 Å, 2θ = 48.4°, rel. 17; (1 1 8), d = 1.787 Å, 2θ = 51.1°, rel. 11; (2 1 4), d = 1.589 Å, 2θ = 58.0°, rel. 44; (3 0 4), d = 1.214 Å, 2θ = 78.8°, rel. 17; (3 1 0), d = 1.189 Å, 2θ = 80.8°, rel. 7

Atomic structure:
```
La4Nd3Ga
1.0
3.761 0.000 0.000
0.000 3.761 0.000
0.000 0.000 19.305
La Nd Ga
4 3 1
Direct
0.000 0.000 0.094 La
0.000 0.000 0.366 La
0.000 0.000 0.634 La
0.000 0.000 0.906 La
0.500 0.500 0.233 Nd
0.500 0.500 0.500 Nd
0.500 0.500 0.767 Nd
0.500 0.500 0.000 Ga
```